For Mg15V, a structure optimized by DFT (PBE) gives the simulated powder X-ray diffraction pattern in this record (Cu Kα (weighted mean of Kα1 and Kα2)).

Structural model:
Unit cell a=6.3110 b=6.3110 c=10.3537 alpha=90.00 beta=90.00 gamma=120.00
Sites, in units of the cell vectors:
Mg 0.0000 0.0000 0.0000
Mg 0.0022 0.5011 0.0000
Mg 0.1638 0.3276 0.2564
Mg 0.1638 0.3276 0.7436
Mg 0.1638 0.8362 0.2564
Mg 0.1638 0.8362 0.7436
Mg 0.4989 0.5011 0.0000
Mg 0.4989 0.9978 0.0000
Mg 0.5005 0.0010 0.5000
Mg 0.5005 0.4995 0.5000
Mg 0.6667 0.3333 0.2479
Mg 0.6667 0.3333 0.7521
Mg 0.6724 0.8362 0.2564
Mg 0.6724 0.8362 0.7436
Mg 0.9990 0.4995 0.5000
V 0.0000 0.0000 0.5000

Top 12 peaks for 2θ = 10–90°, low angle first:
2theta, I_rel
18.36, 3
32.77, 24
34.66, 27
37.20, 100
48.44, 15
58.50, 17
63.79, 19
69.81, 19
71.40, 13
73.12, 3
79.29, 3
82.46, 3

For BaTiCu4P4O17, a structure optimized by DFT (PBE) gives the simulated powder X-ray diffraction pattern in this record (Cu Kα (weighted mean of Kα1 and Kα2)).

Structural model:
Unit cell a=9.7359 b=9.7359 c=7.2607 alpha=90.00 beta=90.00 gamma=90.00
Sites, in units of the cell vectors:
Ba 0.0000 0.0000 0.0000
Ba 0.5000 0.5000 0.0000
Ti 0.0000 0.5000 0.0244
Ti 0.5000 0.0000 0.9756
Cu 0.0088 0.2684 0.5978
Cu 0.2316 0.5088 0.5978
Cu 0.2684 0.0088 0.4022
Cu 0.4912 0.7684 0.4022
Cu 0.5088 0.2316 0.4022
Cu 0.7316 0.9912 0.4022
Cu 0.7684 0.4912 0.5978
Cu 0.9912 0.7316 0.5978
P 0.1965 0.7157 0.2627
P 0.2157 0.3035 0.2627
P 0.2843 0.8035 0.7373
P 0.3035 0.2157 0.7373
P 0.6965 0.7843 0.7373
P 0.7157 0.1965 0.7373
P 0.7843 0.6965 0.2627
P 0.8035 0.2843 0.2627
O 0.0000 0.5000 0.7890
O 0.1191 0.6560 0.0961
O 0.1283 0.8345 0.7353
O 0.1384 0.6496 0.4463
O 0.1493 0.1784 0.7502
O 0.1496 0.3616 0.4463
O 0.1560 0.3809 0.0961
O 0.1655 0.8717 0.2647
O 0.1784 0.1493 0.2498
O 0.3216 0.6493 0.7502
O 0.3345 0.3717 0.7353
O 0.3440 0.8809 0.9039
O 0.3504 0.8616 0.5537
O 0.3507 0.6784 0.2498
O 0.3616 0.1496 0.5537
O 0.3717 0.3345 0.2647
O 0.3809 0.1560 0.9039
O 0.5000 0.0000 0.2110
O 0.6191 0.8440 0.9039
O 0.6283 0.6655 0.2647
O 0.6384 0.8504 0.5537
O 0.6493 0.3216 0.2498
O 0.6496 0.1384 0.5537
O 0.6560 0.1191 0.9039
O 0.6655 0.6283 0.7353
O 0.6784 0.3507 0.7502
O 0.8216 0.8507 0.2498
O 0.8345 0.1283 0.2647
O 0.8440 0.6191 0.0961
O 0.8504 0.6384 0.4463
O 0.8507 0.8216 0.7502
O 0.8616 0.3504 0.4463
O 0.8717 0.1655 0.7353
O 0.8809 0.3440 0.0961

Top 12 peaks for 2θ = 10–90°, low angle first:
2theta, I_rel
17.75, 23
21.98, 51
26.20, 22
28.70, 100
30.16, 26
30.72, 49
35.47, 19
38.33, 24
41.68, 20
53.22, 18
57.39, 20
61.58, 21